1.
Calculated X-ray powder pattern
Compound: Ce2Y3ErSb6
Radiation: λ = 1.5418 Å (Cu Kα)
Structure: a PBE-relaxed structure
Neutral-atom scattering factors, no anomalous dispersion.

Most intense lines, 10° ≤ 2θ ≤ 80°, by angle:
28.55 deg, I = 1000
40.81 deg, I = 756
50.56 deg, I = 268
59.09 deg, I = 125
66.91 deg, I = 341
74.30 deg, I = 251

Crystal structure
```
Ce2Y3ErSb6
1.0
3.830 -6.635 0.000
3.830 6.635 0.000
-2.557 0.000 7.219
Ce Y Er Sb
2 3 1 6
Direct
0.166 0.834 0.000 Ce
0.834 0.166 0.000 Ce
0.000 0.000 0.500 Y
0.331 0.669 0.500 Y
0.669 0.331 0.500 Y
0.500 0.500 0.000 Er
0.087 0.416 0.748 Sb
0.256 0.256 0.254 Sb
0.416 0.087 0.748 Sb
0.584 0.913 0.252 Sb
0.744 0.744 0.746 Sb
0.913 0.584 0.252 Sb
```

2.
Calculated X-ray powder pattern
Compound: CeEr12Sc2
Radiation: λ = 1.5418 Å (Cu Kα)
Structure: a PBE-relaxed structure
Neutral-atom scattering factors, no anomalous dispersion.

Most intense lines, 10° ≤ 2θ ≤ 80°, by angle:
30.66 deg, I = 242
31.52 deg, I = 340
32.29 deg, I = 513
32.93 deg, I = 1000
34.76 deg, I = 340
35.01 deg, I = 264

Crystal structure
```
CeEr12Sc2
1.0
3.542 0.000 0.000
0.000 5.545 0.000
-1.752 0.000 23.122
Ce Er Sc
1 12 2
Direct
0.000 0.000 0.000 Ce
0.098 0.500 0.195 Er
0.220 0.500 0.442 Er
0.292 0.000 0.580 Er
0.339 0.500 0.679 Er
0.424 0.000 0.848 Er
0.465 0.500 0.932 Er
0.535 0.500 0.068 Er
0.576 0.000 0.152 Er
0.661 0.500 0.321 Er
0.708 0.000 0.420 Er
0.780 0.500 0.558 Er
0.902 0.500 0.805 Er
0.143 0.000 0.285 Sc
0.857 0.000 0.715 Sc
```

3.
Calculated X-ray powder pattern
Compound: CeEr8Sc4
Radiation: λ = 1.5418 Å (Cu Kα)
Structure: a PBE-relaxed structure
Neutral-atom scattering factors, no anomalous dispersion.

Most intense lines, 10° ≤ 2θ ≤ 80°, by angle:
10.29 deg, I = 401
30.04 deg, I = 500
32.41 deg, I = 1000
38.26 deg, I = 260
40.68 deg, I = 262
51.79 deg, I = 313

Crystal structure
```
CeEr8Sc4
1.0
3.531 2.038 8.594
-3.531 2.038 8.594
0.000 -4.077 8.594
Ce Er Sc
1 8 4
Direct
0.000 0.000 0.000 Ce
0.248 0.248 0.703 Er
0.248 0.703 0.248 Er
0.278 0.278 0.278 Er
0.297 0.752 0.752 Er
0.703 0.248 0.248 Er
0.722 0.722 0.722 Er
0.752 0.297 0.752 Er
0.752 0.752 0.297 Er
0.000 0.000 0.500 Sc
0.000 0.500 0.000 Sc
0.500 0.000 0.000 Sc
0.500 0.500 0.500 Sc
```

4.
Calculated X-ray powder pattern
Compound: CeEr7Sc2
Radiation: λ = 1.5418 Å (Cu Kα)
Structure: a PBE-relaxed structure
Neutral-atom scattering factors, no anomalous dispersion.

Most intense lines, 10° ≤ 2θ ≤ 80°, by angle:
28.49 deg, I = 906
31.28 deg, I = 1000
32.38 deg, I = 781
35.23 deg, I = 807
35.53 deg, I = 879
45.64 deg, I = 726

Crystal structure
```
CeEr7Sc2
1.0
4.338 -7.604 0.000
4.338 7.604 0.000
0.000 0.000 5.530
Ce Er Sc
1 7 2
Direct
0.000 0.000 0.000 Ce
0.060 0.300 0.500 Er
0.233 0.767 0.000 Er
0.300 0.060 0.500 Er
0.500 0.500 0.500 Er
0.700 0.940 0.500 Er
0.767 0.233 0.000 Er
0.940 0.700 0.500 Er
0.296 0.704 0.500 Sc
0.704 0.296 0.500 Sc
```

5.
Calculated X-ray powder pattern
Compound: Ce5Er3Se8
Radiation: λ = 1.5418 Å (Cu Kα)
Structure: a PBE-relaxed structure
Neutral-atom scattering factors, no anomalous dispersion.

Most intense lines, 10° ≤ 2θ ≤ 80°, by angle:
30.54 deg, I = 1000
43.58 deg, I = 372
43.90 deg, I = 368
54.42 deg, I = 194
71.94 deg, I = 164
72.40 deg, I = 165

Crystal structure
```
Ce5Er3Se8
1.0
4.125 2.381 6.807
-4.125 2.381 6.807
0.000 -4.763 6.807
Ce Er Se
5 3 8
Direct
0.000 0.000 0.000 Ce
0.000 0.500 0.500 Ce
0.500 0.000 0.500 Ce
0.500 0.500 0.000 Ce
0.500 0.500 0.500 Ce
0.000 0.000 0.500 Er
0.000 0.500 0.000 Er
0.500 0.000 0.000 Er
0.240 0.750 0.750 Se
0.245 0.245 0.245 Se
0.250 0.250 0.760 Se
0.250 0.760 0.250 Se
0.750 0.240 0.750 Se
0.750 0.750 0.240 Se
0.755 0.755 0.755 Se
0.760 0.250 0.250 Se
```

6.
Calculated X-ray powder pattern
Compound: Ce5ErSe6
Radiation: λ = 1.5418 Å (Cu Kα)
Structure: a PBE-relaxed structure
Neutral-atom scattering factors, no anomalous dispersion.

Most intense lines, 10° ≤ 2θ ≤ 80°, by angle:
30.30 deg, I = 1000
43.36 deg, I = 618
43.44 deg, I = 123
53.80 deg, I = 195
71.49 deg, I = 275
79.54 deg, I = 144

Crystal structure
```
Ce5ErSe6
1.0
3.613 -6.266 0.000
3.613 6.266 0.000
-2.417 0.000 6.805
Ce Er Se
5 1 6
Direct
0.000 0.000 0.000 Ce
0.166 0.834 0.500 Ce
0.330 0.670 0.000 Ce
0.670 0.330 0.000 Ce
0.834 0.166 0.500 Ce
0.500 0.500 0.500 Er
0.094 0.419 0.257 Se
0.258 0.258 0.748 Se
0.419 0.094 0.257 Se
0.581 0.906 0.743 Se
0.742 0.742 0.252 Se
0.906 0.581 0.743 Se
```